Record 1
Structure and computed XRD peak list of GePb4Se6 (a PBE-relaxed structure; CuKα).
Neutral-atom scattering factors, no anomalous dispersion.

Atomic structure:
```
GePb4Se6
1.0
8.0655 -3.8765 0.0000
8.0655 3.8765 0.0000
-6.9545 0.0000 12.1069
Ge Pb Se
2 8 12
direct
0.2293 0.7707 0.5000
0.7707 0.2293 0.0000
0.1988 0.3427 0.5828
0.2122 0.9399 0.2756
0.2723 0.6353 0.9099
0.3427 0.1988 0.0828
0.6100 0.8218 0.7626
0.6353 0.2723 0.4099
0.8218 0.6100 0.2626
0.9399 0.2122 0.7756
0.0142 0.4785 0.7533
0.1831 0.6266 0.3063
0.3186 0.9227 0.8773
0.4163 0.9133 0.5425
0.4545 0.5247 0.6045
0.4785 0.0142 0.2533
0.5247 0.4545 0.1045
0.6266 0.1831 0.8063
0.9133 0.4163 0.0425
0.9185 0.9660 0.5445
0.9227 0.3186 0.3773
0.9660 0.9185 0.0445
```

Largest 10 diffraction maxima, by angle, 2θ = 10–90°:
2θ 20.8, I 100
2θ 23.8, I 39
2θ 24.1, I 63
2θ 27.3, I 28
2θ 28.3, I 39
2θ 29.3, I 30
2θ 30.0, I 28
2θ 36.3, I 28
2θ 36.8, I 28
2θ 40.2, I 28

Record 2
Structure and computed XRD peak list of BaLa4Ti4O15 (a PBE-relaxed structure; CuKα).
Neutral-atom scattering factors, no anomalous dispersion.

Atomic structure:
```
BaLa4Ti4O15
1.0
5.6302 0.0000 0.0000
-2.8151 4.8759 0.0000
0.0000 0.0000 22.1808
Ba La Ti O
2 8 8 30
direct
0.0000 0.0000 0.2500
0.0000 0.0000 0.7500
0.3333 0.6667 0.0402
0.3333 0.6667 0.3589
0.3333 0.6667 0.5402
0.3333 0.6667 0.8589
0.6667 0.3333 0.1411
0.6667 0.3333 0.4598
0.6667 0.3333 0.6411
0.6667 0.3333 0.9598
0.0000 0.0000 0.0886
0.0000 0.0000 0.4114
0.0000 0.0000 0.5886
0.0000 0.0000 0.9114
0.3333 0.6667 0.1978
0.3333 0.6667 0.6978
0.6667 0.3333 0.3022
0.6667 0.3333 0.8022
0.0000 0.4750 0.2500
0.0000 0.5250 0.7500
0.0998 0.3392 0.4477
0.0998 0.7606 0.9477
0.1104 0.3427 0.6468
0.1104 0.7677 0.1468
0.2323 0.3427 0.1468
0.2323 0.8896 0.6468
0.2394 0.3392 0.9477
0.2394 0.9002 0.4477
0.3392 0.0998 0.0523
0.3392 0.2394 0.5523
0.3427 0.1104 0.8532
0.3427 0.2323 0.3532
0.4750 0.0000 0.2500
0.4750 0.4750 0.7500
0.5250 0.0000 0.7500
0.5250 0.5250 0.2500
0.6573 0.7677 0.6468
0.6573 0.8896 0.1468
0.6608 0.7606 0.4477
0.6608 0.9002 0.9477
0.7606 0.0998 0.5523
0.7606 0.6608 0.0523
0.7677 0.1104 0.3532
0.7677 0.6573 0.8532
0.8896 0.2323 0.8532
0.8896 0.6573 0.3532
0.9002 0.2394 0.0523
0.9002 0.6608 0.5523
```

Largest 10 diffraction maxima, by angle, 2θ = 10–90°:
2θ 19.9, I 15
2θ 24.3, I 21
2θ 30.3, I 100
2θ 31.8, I 85
2θ 40.4, I 19
2θ 44.5, I 57
2θ 53.0, I 17
2θ 55.7, I 37
2θ 56.6, I 20
2θ 66.4, I 15

Record 3
Structure and computed XRD peak list of SrNpSeO2 (a PBE-relaxed structure; CuKα).
Neutral-atom scattering factors, no anomalous dispersion.

Atomic structure:
```
SrNpSeO2
1.0
4.2733 0.0000 0.0000
0.0000 4.2733 0.0000
0.0000 0.0000 5.9903
Sr Np Se O
1 1 1 2
direct
0.0000 0.0000 0.0000
0.5000 0.5000 0.3444
0.5000 0.5000 0.8296
0.0000 0.5000 0.2753
0.5000 0.0000 0.2753
```

Largest 10 diffraction maxima, by angle, 2θ = 10–90°:
2θ 14.8, I 43
2θ 20.8, I 80
2θ 25.6, I 92
2θ 29.6, I 92
2θ 29.8, I 31
2θ 36.6, I 100
2θ 42.3, I 49
2θ 42.5, I 39
2θ 50.1, I 31
2θ 57.2, I 56

Record 4
Structure and computed XRD peak list of RbVSeBr6 (a PBE-relaxed structure; CuKα).
Neutral-atom scattering factors, no anomalous dispersion.

Atomic structure:
```
RbVSeBr6
1.0
6.6940 0.0000 0.0000
-0.2948 7.1974 0.0000
-2.2681 -2.7110 6.7444
Rb V Se Br
1 1 1 6
direct
0.0000 0.0000 0.0000
0.4790 0.4493 0.4825
0.5598 0.7581 0.1125
0.1939 0.5358 0.2585
0.2656 0.1999 0.5204
0.3840 0.7519 0.7556
0.5805 0.2210 0.2214
0.7252 0.7504 0.4584
0.7943 0.4724 0.7507
```

Largest 10 diffraction maxima, by angle, 2θ = 10–90°:
2θ 14.0, I 34
2θ 14.8, I 48
2θ 26.9, I 100
2θ 28.2, I 51
2θ 28.7, I 78
2θ 29.5, I 52
2θ 31.8, I 61
2θ 32.3, I 53
2θ 35.5, I 44
2θ 45.4, I 37

Record 5
Structure and computed XRD peak list of Tm3BeO6 (a PBE-relaxed structure; CuKα).
Neutral-atom scattering factors, no anomalous dispersion.

Atomic structure:
```
Tm3BeO6
1.0
4.4410 -5.4718 0.0000
4.4410 5.4718 0.0000
0.0000 0.0000 4.9822
Tm Be O
6 2 12
direct
0.1128 0.8872 0.5000
0.1954 0.4275 0.5547
0.4275 0.1954 0.0547
0.5725 0.8046 0.5547
0.8046 0.5725 0.0547
0.8872 0.1128 0.0000
0.3026 0.6974 0.0912
0.6974 0.3026 0.5912
0.0932 0.6119 0.2469
0.1461 0.1747 0.2810
0.1747 0.1461 0.7810
0.2844 0.7156 0.7648
0.3881 0.9068 0.2469
0.4562 0.5438 0.1927
0.5438 0.4562 0.6927
0.6119 0.0932 0.7469
0.7156 0.2844 0.2648
0.8253 0.8539 0.2810
0.8539 0.8253 0.7810
0.9068 0.3881 0.7469
```

Largest 10 diffraction maxima, by angle, 2θ = 10–90°:
2θ 22.0, I 48
2θ 24.2, I 19
2θ 31.3, I 27
2θ 31.6, I 100
2θ 32.0, I 34
2θ 32.7, I 22
2θ 36.1, I 17
2θ 48.5, I 26
2θ 49.5, I 24
2θ 52.0, I 17

Record 6
Structure and computed XRD peak list of Tl3In2Pb (a PBE-relaxed structure; CuKα).
Neutral-atom scattering factors, no anomalous dispersion.

Atomic structure:
```
Tl3In2Pb
1.0
8.0612 0.0000 0.0000
0.0000 3.9648 0.0000
-0.0147 0.0000 11.1943
Tl In Pb
6 4 2
direct
0.1238 0.2500 0.2405
0.1447 0.2500 0.9250
0.3617 0.7500 0.4192
0.6383 0.2500 0.5808
0.8553 0.7500 0.0750
0.8762 0.7500 0.7595
0.1067 0.2500 0.5849
0.3996 0.7500 0.0921
0.6004 0.2500 0.9079
0.8933 0.7500 0.4151
0.3640 0.7500 0.7337
0.6360 0.2500 0.2663
```

Largest 10 diffraction maxima, by angle, 2θ = 10–90°:
2θ 31.7, I 100
2θ 32.7, I 89
2θ 33.0, I 90
2θ 45.0, I 17
2θ 45.8, I 19
2θ 48.8, I 14
2θ 56.9, I 33
2θ 57.4, I 36
2θ 59.4, I 30
2θ 66.1, I 11